# 1
Starting from a DFT-relaxed cell (PBE, the Materials Project), the X-ray diffraction stick pattern of KNaB2H8 was calculated for CuKα.
Neutral-atom scattering factors, no anomalous dispersion.

Peak list (10 most intense, 2θ from 10° to 80°, sorted by position)
2θ/deg, I_rel, h k l
12.13, 11, 0 0 1
21.82, 15, 1 0 0
24.41, 17, 0 0 2
25.04, 100, 0 1 1
32.96, 30, 0 1 2
38.27, 34, 1 1 0
43.34, 26, 1 0 3
45.91, 19, 1 1 2
46.28, 18, 2 0 1
61.56, 12, 1 2 1

Atomic structure:
Cell lengths 4.7035, 4.7035, 7.2944 Å; angles 90.00, 90.00, 120.00 degrees
Space group P3m1 (No. 156)
Unique sites:
K 0.0000 0.0000 0.0000 [1 per cell]
Na 0.3333 0.6667 0.5309 [1 per cell]
B 0.3333 0.6667 0.1810 [1 per cell]
B 0.6667 0.3333 0.6906 [1 per cell]
H 0.0482 0.5241 0.2359 [3 per cell]
H 0.3333 0.6667 0.0126 [1 per cell]
H 0.3818 0.1909 0.6333 [3 per cell]
H 0.6667 0.3333 0.8585 [1 per cell]

***

# 2
Starting from a DFT-relaxed cell (PBE, the Materials Project), the X-ray diffraction stick pattern of KNaB2H8 was calculated for CuKα.
Neutral-atom scattering factors, no anomalous dispersion.

Peak list (10 most intense, 2θ from 10° to 80°, sorted by position)
2θ/deg, I_rel, h k l
23.01, 8, 1 0 1
24.04, 44, 0 0 6
27.83, 100, 1 0 4
39.77, 63, 1 1 0
47.01, 33, 2 -1 6
49.24, 21, 0 2 4
63.23, 11, 0 1 14
65.07, 23, 2 1 4
72.19, 17, 3 0 0
77.34, 8, 0 0 18

Atomic structure:
Cell lengths 4.5312, 4.5312, 22.2249 Å; angles 90.00, 90.00, 120.00 degrees
Space group R-3 (No. 148, hexagonal axes)
Unique sites:
K 0.0000 0.0000 0.0000 [3 per cell]
Na 0.0000 0.0000 0.5000 [3 per cell]
B 0.0000 0.0000 0.2442 [6 per cell]
H 0.0000 0.0000 0.2997 [6 per cell]
H 0.0446 0.5756 0.4406 [18 per cell]